Starting from a cell relaxed with PBE, the powder diffractogram of VPb2Cl6 was simulated for Cu Kα X-rays.

Top 10 peaks for 2θ from 10° to 80°, low angle first:
- (1 0 1), 2θ 14.9, intensity 98
- (0 0 3), 2θ 15.4, intensity 48
- (0 1 2), 2θ 17.3, intensity 93
- (1 1 0), 2θ 24.3, intensity 100
- (1 1 3), 2θ 28.9, intensity 86
- (0 1 5), 2θ 29.4, intensity 80
- (2 0 2), 2θ 30.0, intensity 67
- (2 0 5), 2θ 38.5, intensity 54
- (3 0 0), 2θ 42.7, intensity 52
- (3 -2 5), 2θ 46.0, intensity 71

Structure:
abc: 7.3316 7.3316 17.3141
angles: 90.00 90.00 120.00
Space group R-3 (No. 148, hexagonal axes)
Symmetry-distinct sites (fractional):
V (0.0000, 0.0000, 0.0000) [3 per cell]
Pb (0.0000, 0.0000, 0.2046) [6 per cell]
Cl (0.0413, 0.2903, 0.0850) [18 per cell]



Starting from a cell relaxed with PBE, the powder diffractogram of Na2HoBiO4 was simulated for Cu Kα X-rays.

Top 10 peaks for 2θ from 10° to 80°, low angle first:
- (1 0 0), 2θ 15.7, intensity 100
- (1 0 -2), 2θ 30.1, intensity 19
- (0 1 1), 2θ 30.2, intensity 40
- (0 0 2), 2θ 31.4, intensity 21
- (1 1 -1), 2θ 31.6, intensity 42
- (2 0 0), 2θ 31.7, intensity 21
- (1 1 1), 2θ 36.6, intensity 81
- (3 0 -2), 2θ 48.3, intensity 19
- (1 1 -3), 2θ 52.6, intensity 19
- (0 2 0), 2θ 52.9, intensity 27

Structure:
abc: 5.9879 3.4648 6.0433
angles: 90.00 109.51 90.00
Space group P2/m (No. 10)
Symmetry-distinct sites (fractional):
Na (0.0000, 0.0000, 0.0000) [1 per cell]
Na (0.0000, 0.5000, 0.5000) [1 per cell]
Ho (0.5000, 0.0000, 0.5000) [1 per cell]
Bi (0.5000, 0.5000, 0.0000) [1 per cell]
O (0.2757, 0.0000, 0.7433) [2 per cell]
O (0.2863, 0.5000, 0.2743) [2 per cell]